This entry pairs a crystal structure of CuBiMoAu with its computed powder X-ray diffraction pattern. Radiation: Cu Kα (λ = 1.5418 Å). Structure: the PBE geometry in OQMD.
Lines closer than 0.1° are merged.

Top 7 peaks for 2θ = 5–70°, by angle:
| h k l | Position (°2θ) | Rel. int. |
| --- | --- | --- |
| 1 1 1 | 22.70 | 20 |
| 2 0 0 | 26.27 | 1 |
| 2 2 0 | 37.49 | 100 |
| 3 1 1 | 44.27 | 11 |
| 4 0 0 | 54.05 | 17 |
| 3 3 1 | 59.36 | 5 |
| 4 2 2 | 67.63 | 36 |

Cell and atoms:
a = 6.7861 Å, b = 6.7861 Å, c = 6.7861 Å
α = 90.00°, β = 90.00°, γ = 90.00°
Space group F-43m (No. 216)
Asymmetric unit:
Cu (0.0000, 0.0000, 0.0000) (multiplicity 4)
Bi (0.2500, 0.2500, 0.7500) (multiplicity 4)
Mo (0.2500, 0.2500, 0.2500) (multiplicity 4)
Au (0.0000, 0.0000, 0.5000) (multiplicity 4)